Ni5Ir: simulated powder X-ray diffraction pattern (a wavelength of 1.5418 Å), based on a cell relaxed with GGA-PBE.
No peak broadening, texture or thermal motion is included.

abc: 4.3997 4.3997 4.1636
angles: 90.00 90.00 120.00
Fractional positions:
Ni 0.0000 0.6642 0.0000
Ni 0.3333 0.6667 0.5000
Ni 0.3358 0.3358 0.0000
Ni 0.6642 0.0000 0.0000
Ni 0.6667 0.3333 0.5000
Ir 0.0000 0.0000 0.5000

Peak list (6 most intense, 2θ = 10–90°, by intensity)
| 2θ/deg | I_rel |
| --- | --- |
| 46.70 | 100 |
| 41.03 | 28 |
| 43.47 | 27 |
| 23.35 | 23 |
| 31.84 | 22 |
| 82.11 | 18 |

***

Li3NpI6: simulated powder X-ray diffraction pattern (a wavelength of 1.5418 Å), based on a cell relaxed with GGA-PBE.
No peak broadening, texture or thermal motion is included.

abc: 8.6049 8.6343 8.6363
angles: 60.48 60.39 60.39
Fractional positions:
Li 0.0000 0.0000 0.0000
Li 0.0000 0.0000 0.5000
Li 0.0000 0.5000 0.0000
Np 0.5000 0.5000 0.5000
I 0.2225 0.2717 0.7714
I 0.2269 0.7758 0.2674
I 0.2399 0.7551 0.7552
I 0.7601 0.2449 0.2448
I 0.7731 0.2242 0.7326
I 0.7775 0.7283 0.2286

Peak list (6 most intense, 2θ = 10–90°, by intensity)
| 2θ/deg | I_rel |
| --- | --- |
| 14.48 | 100 |
| 29.19 | 79 |
| 32.64 | 28 |
| 25.12 | 20 |
| 12.49 | 19 |
| 41.85 | 18 |

***

TbNdInGa: simulated powder X-ray diffraction pattern (a wavelength of 1.5418 Å), based on a cell relaxed with GGA-PBE.
No peak broadening, texture or thermal motion is included.

abc: 3.7083 3.7083 7.5826
angles: 90.00 90.00 90.00
Fractional positions:
Tb 0.0000 0.0000 0.0000
Nd 0.0000 0.0000 0.5273
In 0.5000 0.5000 0.2535
Ga 0.5000 0.5000 0.7756

Peak list (6 most intense, 2θ = 10–90°, by intensity)
| 2θ/deg | I_rel |
| --- | --- |
| 33.81 | 100 |
| 34.20 | 50 |
| 60.98 | 36 |
| 49.14 | 18 |
| 60.24 | 17 |
| 71.13 | 10 |

***

Tb4Y3Sc4: simulated powder X-ray diffraction pattern (a wavelength of 1.5418 Å), based on a cell relaxed with GGA-PBE.
No peak broadening, texture or thermal motion is included.

abc: 10.3391 6.4265 6.4265
angles: 50.25 90.00 90.00
Fractional positions:
Tb 0.0000 0.0000 0.0000
Tb 0.2120 0.7856 0.7856
Tb 0.5000 0.9307 0.9307
Tb 0.7880 0.7856 0.7856
Y 0.0000 0.2899 0.2899
Y 0.2866 0.4590 0.4590
Y 0.7134 0.4590 0.4590
Sc 0.0000 0.5927 0.5927
Sc 0.3070 0.1483 0.1483
Sc 0.5000 0.6567 0.6567
Sc 0.6930 0.1483 0.1483

Peak list (6 most intense, 2θ = 10–90°, by intensity)
| 2θ/deg | I_rel |
| --- | --- |
| 33.22 | 100 |
| 32.82 | 36 |
| 31.65 | 31 |
| 24.93 | 22 |
| 58.83 | 22 |
| 17.95 | 21 |

***

Er4AsPb2: simulated powder X-ray diffraction pattern (a wavelength of 1.5418 Å), based on a cell relaxed with GGA-PBE.
No peak broadening, texture or thermal motion is included.

abc: 6.5972 6.5335 9.7262
angles: 90.00 109.50 90.00
Fractional positions:
Er 0.1608 0.2500 0.0730
Er 0.2542 0.0036 0.7574
Er 0.2542 0.4964 0.7574
Er 0.2999 0.7500 0.3593
Er 0.7001 0.2500 0.6407
Er 0.7458 0.5036 0.2426
Er 0.7458 0.9964 0.2426
Er 0.8392 0.7500 0.9270
As 0.4864 0.2500 0.3437
As 0.5136 0.7500 0.6563
Pb 0.1312 0.2500 0.4565
Pb 0.3430 0.7500 0.0468
Pb 0.6570 0.2500 0.9532
Pb 0.8688 0.7500 0.5435

Peak list (6 most intense, 2θ = 10–90°, by intensity)
| 2θ/deg | I_rel |
| --- | --- |
| 31.92 | 100 |
| 33.69 | 58 |
| 33.92 | 55 |
| 31.14 | 50 |
| 36.84 | 49 |
| 30.95 | 43 |